Record 1
For HoTm2Cu4Ge4, a cell relaxed with GGA-PBE gives the calculated XRD peak list in this record (Cu Ka).

Atomic structure:
```
data_HoTm2Cu4Ge4
_symmetry_space_group_name_H-M 'P 1'
_symmetry_Int_Tables_number 1
_symmetry_space_group_name_Hall 'P 1'
_cell_length_a 7.953
_cell_length_b 7.953
_cell_length_c 7.953
_cell_angle_alpha 149.61
_cell_angle_beta 130.74
_cell_angle_gamma 58.99
loop_
_atom_site_label
_atom_site_type_symbol
_atom_site_fract_x
_atom_site_fract_y
_atom_site_fract_z
Ho1 Ho 0.000 0.000 0.000
Tm1 Tm 0.370 0.870 0.500
Tm2 Tm 0.630 0.130 0.500
Cu1 Cu 0.022 0.331 0.691
Cu2 Cu 0.360 0.669 0.691
Cu3 Cu 0.640 0.331 0.309
Cu4 Cu 0.978 0.669 0.309
Ge1 Ge 0.216 0.216 0.000
Ge2 Ge 0.308 0.500 0.808
Ge3 Ge 0.692 0.500 0.192
Ge4 Ge 0.784 0.784 0.000
```

Main lines, low angle first (10 to 90 degrees two-theta):
| 2θ/deg | Rel. int. |
| --- | --- |
| 35.18 | 100 |
| 36.36 | 84 |
| 39.04 | 16 |
| 43.41 | 31 |
| 45.51 | 23 |
| 64.71 | 16 |



Record 2
For Li2Zn2Ga2CoPt, a cell relaxed with GGA-PBE gives the calculated XRD peak list in this record (Cu Ka).

Atomic structure:
```
data_Li2Zn2Ga2CoPt
_symmetry_space_group_name_H-M 'P 1'
_symmetry_Int_Tables_number 1
_symmetry_space_group_name_Hall 'P 1'
_cell_length_a 4.217
_cell_length_b 4.217
_cell_length_c 6.011
_cell_angle_alpha 90.00
_cell_angle_beta 90.00
_cell_angle_gamma 90.00
loop_
_atom_site_label
_atom_site_type_symbol
_atom_site_fract_x
_atom_site_fract_y
_atom_site_fract_z
Li1 Li 0.000 0.000 0.000
Li2 Li 0.500 0.500 0.500
Zn1 Zn 0.000 0.500 0.734
Zn2 Zn 0.500 0.000 0.266
Ga1 Ga 0.000 0.500 0.269
Ga2 Ga 0.500 0.000 0.731
Co1 Co 0.000 0.000 0.500
Pt1 Pt 0.500 0.500 0.000
```

Main lines, low angle first (10 to 90 degrees two-theta):
| 2θ/deg | Rel. int. |
| --- | --- |
| 25.81 | 76 |
| 33.55 | 17 |
| 42.72 | 100 |
| 42.89 | 51 |
| 50.74 | 24 |
| 78.46 | 32 |